Structure and simulated powder diffraction line list of Sc6AlTl5 (a crystal structure in Alexandria, relaxed with PBE; Cu Kα (λ = 1.5418 Å)).

The 10 most intense peaks (2θ from 10° to 80°), by angle:
| d_spacing | I/Imax | (hkl) |
| --- | --- | --- |
| 3.573 | 41 | 2 0 0 |
| 2.526 | 100 | 2 0 -2 |
| 2.063 | 13 | 0 0 2 |
| 1.788 | 12 | 2 6 -2 |
| 1.783 | 6 | 4 0 0 |
| 1.599 | 12 | 0 6 2 |
| 1.595 | 6 | 3 3 1 |
| 1.459 | 24 | 5 3 -3 |
| 1.457 | 12 | 2 0 2 |
| 1.263 | 7 | 2 6 2 |

Structural model:
abc: 8.738 15.176 5.057
angles: 90.00 125.31 90.00
Space group C2/m (No. 12)
Inequivalent atoms, fractional coordinates:
Sc 0.240 0.000 0.240 x4
Sc 0.245 0.163 0.745 x8
Al 0.000 0.000 0.500 x2
Tl 0.000 0.170 0.000 x4
Tl 0.000 0.334 0.500 x4
Tl 0.000 0.500 0.000 x2


Structure and simulated powder diffraction line list of Tm5Sc4Al (a crystal structure in Alexandria, relaxed with PBE; Cu Kα (λ = 1.5418 Å)).

The 10 most intense peaks (2θ from 10° to 80°), by angle:
| d_spacing | I/Imax | (hkl) |
| --- | --- | --- |
| 4.548 | 31 | 0 0 5 |
| 3.407 | 35 | 1 0 0 |
| 2.727 | 100 | 1 0 5 |
| 2.409 | 39 | 1 1 0 |
| 2.274 | 11 | 0 0 10 |
| 2.129 | 18 | 1 1 5 |
| 1.891 | 9 | 1 0 10 |
| 1.704 | 13 | 2 0 0 |
| 1.654 | 17 | 1 1 10 |
| 1.445 | 28 | 2 1 5 |

Structural model:
abc: 3.407 3.407 22.738
angles: 90.00 90.00 90.00
Space group P4/mmm (No. 123)
Inequivalent atoms, fractional coordinates:
Tm 0.000 0.000 0.000 x1
Tm 0.000 0.000 0.207 x2
Tm 0.000 0.000 0.415 x2
Sc 0.500 0.500 0.103 x2
Sc 0.500 0.500 0.310 x2
Al 0.500 0.500 0.500 x1


Structure and simulated powder diffraction line list of Tm3ScAl8 (a crystal structure in Alexandria, relaxed with PBE; Cu Kα (λ = 1.5418 Å)).

The 10 most intense peaks (2θ from 10° to 80°), by angle:
| d_spacing | I/Imax | (hkl) |
| --- | --- | --- |
| 4.471 | 78 | 0 1 2 |
| 2.743 | 62 | 0 1 8 |
| 2.734 | 62 | 1 1 0 |
| 2.336 | 100 | 1 0 10 |
| 2.332 | 33 | 2 0 2 |
| 1.580 | 35 | 3 0 0 |
| 1.491 | 24 | 2 1 10 |
| 1.489 | 16 | 3 0 6 |
| 1.371 | 14 | 0 2 16 |
| 1.367 | 14 | 2 2 0 |

Structural model:
abc: 5.4677 5.4677 26.9163
angles: 90.00 90.00 120.00
Space group R3m (No. 160, hexagonal axes)
Inequivalent atoms, fractional coordinates:
Tm 0.0000 0.0000 0.0000 x3
Tm 0.0000 0.0000 0.1253 x3
Tm 0.0000 0.0000 0.6238 x3
Sc 0.0000 0.0000 0.5003 x3
Al 0.0000 0.0000 0.3122 x3
Al 0.0000 0.0000 0.8125 x3
Al 0.9997 0.4998 0.5616 x9
Al 0.0005 0.5002 0.0630 x9